Record 1
This entry pairs a crystal structure of MgFe6O7F5 with its theoretical powder X-ray diffraction pattern. Radiation: Cu Kα (λ = 1.5418 Å). Structure: DFT lattice parameters and positions (GGA+U).
Peak positions follow from Bragg's law for the DFT cell and can differ from measured ones.

Unit cell a=5.1764 b=5.2273 c=8.8762 alpha=87.58 beta=87.83 gamma=77.97
Element x y z (fractional)
Mg: 0.0000 0.0000 0.0000
Fe: 0.0357 0.6497 0.4820
Fe: 0.4320 0.0382 0.6266
Fe: 0.4802 0.0923 0.9719
Fe: 0.4994 0.0288 0.3016
Fe: 0.8802 0.4917 0.1464
Fe: 0.9254 0.5222 0.7990
O: 0.1264 0.3373 0.9768
O: 0.1793 0.3794 0.6392
O: 0.2825 0.8843 0.4667
O: 0.6959 0.2084 0.1415
O: 0.7675 0.7716 0.6442
O: 0.7723 0.7506 0.9740
O: 0.7916 0.7259 0.3106
F: 0.1886 0.3598 0.2977
F: 0.2612 0.8949 0.8168
F: 0.2860 0.8811 0.1455
F: 0.6306 0.2060 0.4654
F: 0.7047 0.2486 0.8050

Principal peaks in the range 5° ≤ 2θ ≤ 70°, in order of rising 2θ:
d/Å, 2θ/deg, intensity
4.038, 22.0, 100.0
3.272, 27.3, 85.4
2.598, 34.5, 23.8
2.585, 34.7, 18.9
2.520, 35.6, 43.7
2.436, 36.9, 12.9
1.721, 53.2, 13.9
1.704, 53.8, 29.1
1.636, 56.2, 17.4
1.477, 62.9, 15.1

Record 2
This entry pairs a crystal structure of Na3V3O8 with its theoretical powder X-ray diffraction pattern. Radiation: Cu Kα (λ = 1.5418 Å). Structure: DFT lattice parameters and positions (GGA+U).
Peak positions follow from Bragg's law for the DFT cell and can differ from measured ones.

Unit cell a=8.8713 b=8.8713 c=9.7354 alpha=123.01 beta=123.01 gamma=36.97
Element x y z (fractional)
Na: 0.0804 0.0804 0.4139
Na: 0.2518 0.2518 0.2497
Na: 0.4191 0.4191 0.0842
Na: 0.5809 0.5809 0.9158
Na: 0.7482 0.7482 0.7503
Na: 0.9196 0.9196 0.5861
V: 0.0000 0.0000 0.0000
V: 0.1369 0.1369 0.8038
V: 0.3635 0.3635 0.6969
V: 0.5000 0.5000 0.5000
V: 0.6365 0.6365 0.3031
V: 0.8631 0.8631 0.1962
O: 0.0882 0.0882 0.9227
O: 0.1605 0.6627 0.8285
O: 0.1620 0.6598 0.3278
O: 0.2417 0.2417 0.5750
O: 0.2589 0.2589 0.9258
O: 0.3373 0.8395 0.1715
O: 0.3402 0.8380 0.6722
O: 0.4130 0.4130 0.5786
O: 0.5870 0.5870 0.4214
O: 0.6598 0.1620 0.3278
O: 0.6627 0.1605 0.8285
O: 0.7411 0.7411 0.0742
O: 0.7583 0.7583 0.4250
O: 0.8380 0.3402 0.6722
O: 0.8395 0.3373 0.1715
O: 0.9118 0.9118 0.0773

Principal peaks in the range 5° ≤ 2θ ≤ 70°, in order of rising 2θ:
d/Å, 2θ/deg, intensity
6.887, 12.9, 12.7
3.981, 22.3, 44.7
3.966, 22.4, 20.5
2.812, 31.8, 100.0
2.808, 31.9, 24.3
1.991, 45.6, 27.5
1.983, 45.8, 13.7
1.624, 56.7, 17.4
1.622, 56.8, 14.0
1.406, 66.5, 18.0

What did the first record say?
This entry pairs a crystal structure of MgFe6O7F5 with its theoretical powder X-ray diffraction pattern. Radiation: Cu Kα (λ = 1.5418 Å). Structure: DFT lattice parameters and positions (GGA+U).
Peak positions follow from Bragg's law for the DFT cell and can differ from measured ones.

Unit cell a=5.1764 b=5.2273 c=8.8762 alpha=87.58 beta=87.83 gamma=77.97
Element x y z (fractional)
Mg: 0.0000 0.0000 0.0000
Fe: 0.0357 0.6497 0.4820
Fe: 0.4320 0.0382 0.6266
Fe: 0.4802 0.0923 0.9719
Fe: 0.4994 0.0288 0.3016
Fe: 0.8802 0.4917 0.1464
Fe: 0.9254 0.5222 0.7990
O: 0.1264 0.3373 0.9768
O: 0.1793 0.3794 0.6392
O: 0.2825 0.8843 0.4667
O: 0.6959 0.2084 0.1415
O: 0.7675 0.7716 0.6442
O: 0.7723 0.7506 0.9740
O: 0.7916 0.7259 0.3106
F: 0.1886 0.3598 0.2977
F: 0.2612 0.8949 0.8168
F: 0.2860 0.8811 0.1455
F: 0.6306 0.2060 0.4654
F: 0.7047 0.2486 0.8050

Principal peaks in the range 5° ≤ 2θ ≤ 70°, in order of rising 2θ:
d/Å, 2θ/deg, intensity
4.038, 22.0, 100.0
3.272, 27.3, 85.4
2.598, 34.5, 23.8
2.585, 34.7, 18.9
2.520, 35.6, 43.7
2.436, 36.9, 12.9
1.721, 53.2, 13.9
1.704, 53.8, 29.1
1.636, 56.2, 17.4
1.477, 62.9, 15.1